(1)
Structure and computed XRD peak list of Ir3Pb (DFT lattice parameters and positions (GGA-PBE); Cu Kα X-rays).
No peak broadening, texture or thermal motion is included.

Structural model:
```
data_Ir3Pb
_chemical_formula_sum 'Ir12 Pb4'
_cell_length_a 5.8888
_cell_length_b 9.9730
_cell_length_c 4.5670
_cell_angle_alpha 90.00
_cell_angle_beta 90.00
_cell_angle_gamma 90.00
_space_group_name_H-M_alt 'C m c m'
_space_group_IT_number 63
_space_group_name_Hall '-C 2c 2'
loop_
_atom_site_label
_atom_site_type_symbol
_atom_site_fract_x
_atom_site_fract_y
_atom_site_fract_z
_atom_site_occupancy
Ir1 Ir 0.0000 0.1753 0.2500 1
Ir2 Ir 0.2263 0.0742 0.7500 1
Pb1 Pb 0.0000 0.3398 0.7500 1
```

Main lines, low angle first (2θ from 15° to 90°):
hkl 2 2 0, d = 2.535 Å, I = 32
hkl 0 0 2, d = 2.283 Å, I = 41
hkl 2 2 1, d = 2.217 Å, I = 100
hkl 0 4 1, d = 2.188 Å, I = 60
hkl 2 2 2, d = 1.697 Å, I = 19
hkl 4 0 0, d = 1.472 Å, I = 11
hkl 2 6 0, d = 1.447 Å, I = 17
hkl 2 2 3, d = 1.305 Å, I = 19
hkl 0 4 3, d = 1.299 Å, I = 12
hkl 2 6 2, d = 1.222 Å, I = 36

***

(2)
Structure and computed XRD peak list of IrPb7 (DFT lattice parameters and positions (GGA-PBE); Cu Kα X-rays).
No peak broadening, texture or thermal motion is included.

Structural model:
```
data_IrPb7
_chemical_formula_sum 'Ir4 Pb28'
_cell_length_a 9.6535
_cell_length_b 9.6535
_cell_length_c 9.6535
_cell_angle_alpha 90.00
_cell_angle_beta 90.00
_cell_angle_gamma 90.00
_space_group_name_H-M_alt 'F m -3 m'
_space_group_IT_number 225
_space_group_name_Hall '-F 4 2 3'
loop_
_atom_site_label
_atom_site_type_symbol
_atom_site_fract_x
_atom_site_fract_y
_atom_site_fract_z
_atom_site_occupancy
Ir1 Ir 0.0000 0.0000 0.0000 1
Pb1 Pb 0.0000 0.0000 0.5000 1
Pb2 Pb 0.0000 0.2500 0.2500 1
```

Main lines, low angle first (2θ from 15° to 90°):
hkl 2 2 2, d = 2.787 Å, I = 100
hkl 4 0 0, d = 2.413 Å, I = 51
hkl 4 4 0, d = 1.707 Å, I = 36
hkl 6 2 2, d = 1.455 Å, I = 43
hkl 4 4 4, d = 1.393 Å, I = 13
hkl 8 0 0, d = 1.207 Å, I = 6
hkl 6 6 2, d = 1.107 Å, I = 19

***

(3)
Structure and computed XRD peak list of Ir7Pb (DFT lattice parameters and positions (GGA-PBE); Cu Kα X-rays).
No peak broadening, texture or thermal motion is included.

Structural model:
```
data_Ir7Pb
_chemical_formula_sum 'Ir28 Pb4'
_cell_length_a 7.9065
_cell_length_b 7.9065
_cell_length_c 7.9065
_cell_angle_alpha 90.00
_cell_angle_beta 90.00
_cell_angle_gamma 90.00
_space_group_name_H-M_alt 'F m -3 m'
_space_group_IT_number 225
_space_group_name_Hall '-F 4 2 3'
loop_
_atom_site_label
_atom_site_type_symbol
_atom_site_fract_x
_atom_site_fract_y
_atom_site_fract_z
_atom_site_occupancy
Ir1 Ir 0.0000 0.0000 0.0000 1
Ir2 Ir 0.0000 0.2500 0.2500 1
Pb1 Pb 0.0000 0.0000 0.5000 1
```

Main lines, low angle first (2θ from 15° to 90°):
hkl 2 2 2, d = 2.282 Å, I = 100
hkl 4 0 0, d = 1.977 Å, I = 49
hkl 4 4 0, d = 1.398 Å, I = 32
hkl 6 2 2, d = 1.192 Å, I = 39
hkl 4 4 4, d = 1.141 Å, I = 12

***

(4)
Structure and computed XRD peak list of IrPb (DFT lattice parameters and positions (GGA-PBE); Cu Kα X-rays).
No peak broadening, texture or thermal motion is included.

Structural model:
```
data_IrPb
_chemical_formula_sum 'Ir6 Pb6'
_cell_length_a 13.3223
_cell_length_b 3.1329
_cell_length_c 6.8936
_cell_angle_alpha 90.00
_cell_angle_beta 118.18
_cell_angle_gamma 90.00
_space_group_name_H-M_alt 'C 1 m 1'
_space_group_IT_number 8
_space_group_name_Hall 'C -2y'
loop_
_atom_site_label
_atom_site_type_symbol
_atom_site_fract_x
_atom_site_fract_y
_atom_site_fract_z
_atom_site_occupancy
Ir1 Ir 0.0000 0.0000 0.0000 1
Ir2 Ir 0.0956 0.5000 0.8021 1
Ir3 Ir 0.4002 0.5000 0.5500 1
Pb1 Pb 0.0187 0.5000 0.3551 1
Pb2 Pb 0.2325 0.0000 0.2068 1
Pb3 Pb 0.2906 0.0000 0.7696 1
```

Main lines, low angle first (2θ from 15° to 90°):
hkl 4 0 -2, d = 2.905 Å, I = 18
hkl 3 1 -1, d = 2.544 Å, I = 49
hkl 3 1 0, d = 2.446 Å, I = 55
hkl 1 1 -2, d = 2.289 Å, I = 100
hkl 4 0 1, d = 2.258 Å, I = 24
hkl 4 0 -3, d = 2.231 Å, I = 23
hkl 6 0 -1, d = 2.189 Å, I = 18
hkl 5 1 -1, d = 2.024 Å, I = 29
hkl 0 2 0, d = 1.566 Å, I = 17
hkl 7 1 1, d = 1.317 Å, I = 16

***

(5)
Structure and computed XRD peak list of Ir3Pb (DFT lattice parameters and positions (GGA-PBE); Cu Kα X-rays).
No peak broadening, texture or thermal motion is included.

Structural model:
```
data_Ir3Pb
_chemical_formula_sum 'Ir6 Pb2'
_cell_length_a 4.6786
_cell_length_b 5.7748
_cell_length_c 4.9400
_cell_angle_alpha 90.00
_cell_angle_beta 90.00
_cell_angle_gamma 90.00
_space_group_name_H-M_alt 'P m m n'
_space_group_IT_number 59
loop_
_space_group_symop_operation_xyz
'x,y,z'
'-x,-y,-z'
'-x+1/2,-y+1/2,z'
'x+1/2,y+1/2,-z'
'x+1/2,-y,-z'
'-x+1/2,y,z'
'-x,y+1/2,-z'
'x,-y+1/2,z'
loop_
_atom_site_label
_atom_site_type_symbol
_atom_site_fract_x
_atom_site_fract_y
_atom_site_fract_z
_atom_site_occupancy
Ir1 Ir 0.2500 0.0038 0.1664 1
Ir2 Ir 0.2500 0.7500 0.7066 1
Pb1 Pb 0.2500 0.2500 0.6615 1
```

Main lines, low angle first (2θ from 15° to 90°):
hkl 0 2 1, d = 2.493 Å, I = 19
hkl 0 0 2, d = 2.470 Å, I = 14
hkl 2 0 0, d = 2.339 Å, I = 38
hkl 1 2 1, d = 2.200 Å, I = 100
hkl 1 0 2, d = 2.184 Å, I = 39
hkl 2 2 1, d = 1.706 Å, I = 12
hkl 0 2 3, d = 1.430 Å, I = 14
hkl 3 2 1, d = 1.322 Å, I = 20
hkl 2 2 3, d = 1.220 Å, I = 17
hkl 1 4 2, d = 1.204 Å, I = 12

***

(6)
Structure and computed XRD peak list of Ir2Pb (DFT lattice parameters and positions (GGA-PBE); Cu Kα X-rays).
No peak broadening, texture or thermal motion is included.

Structural model:
```
data_Ir2Pb
_chemical_formula_sum 'Ir8 Pb4'
_cell_length_a 2.9146
_cell_length_b 19.7317
_cell_length_c 4.3111
_cell_angle_alpha 90.00
_cell_angle_beta 90.00
_cell_angle_gamma 90.00
_space_group_name_H-M_alt 'C m c m'
_space_group_IT_number 63
_space_group_name_Hall '-C 2c 2'
loop_
_atom_site_label
_atom_site_type_symbol
_atom_site_fract_x
_atom_site_fract_y
_atom_site_fract_z
_atom_site_occupancy
Ir1 Ir 0.0000 0.0413 0.2500 1
Ir2 Ir 0.0000 0.4225 0.2500 1
Pb1 Pb 0.0000 0.3247 0.7500 1
```

Main lines, low angle first (2θ from 15° to 90°):
hkl 0 4 1, d = 3.246 Å, I = 37
hkl 1 3 0, d = 2.665 Å, I = 52
hkl 0 8 0, d = 2.466 Å, I = 33
hkl 1 3 1, d = 2.267 Å, I = 82
hkl 0 0 2, d = 2.156 Å, I = 48
hkl 0 8 1, d = 2.141 Å, I = 48
hkl 1 5 1, d = 2.060 Å, I = 100
hkl 1 3 2, d = 1.676 Å, I = 26
hkl 1 11 0, d = 1.528 Å, I = 22
hkl 1 11 2, d = 1.246 Å, I = 23

***

(7)
Structure and computed XRD peak list of Pm6Ir3Pb (DFT lattice parameters and positions (GGA-PBE); Cu Kα X-rays).
No peak broadening, texture or thermal motion is included.

Structural model:
```
data_Pm6Ir3Pb
_chemical_formula_sum 'Pm12 Ir6 Pb2'
_cell_length_a 11.8871
_cell_length_b 4.2218
_cell_length_c 12.2598
_cell_angle_alpha 90.00
_cell_angle_beta 107.62
_cell_angle_gamma 90.00
_space_group_name_H-M_alt 'P 1 21/m 1'
_space_group_IT_number 11
_space_group_name_Hall '-P 2yb'
loop_
_atom_site_label
_atom_site_type_symbol
_atom_site_fract_x
_atom_site_fract_y
_atom_site_fract_z
_atom_site_occupancy
Pm1 Pm 0.0268 0.2500 0.3912 1
Pm2 Pm 0.1084 0.2500 0.9511 1
Pm3 Pm 0.2062 0.7500 0.2658 1
Pm4 Pm 0.2897 0.7500 0.7652 1
Pm5 Pm 0.3544 0.2500 0.5338 1
Pm6 Pm 0.4258 0.7500 0.0871 1
Ir1 Ir 0.0451 0.2500 0.1646 1
Ir2 Ir 0.1802 0.7500 0.5033 1
Ir3 Ir 0.3405 0.2500 0.9220 1
Pb1 Pb 0.4470 0.2500 0.3055 1
```

Main lines, low angle first (2θ from 15° to 90°):
hkl 3 0 -1, d = 3.964 Å, I = 37
hkl 1 1 2, d = 3.126 Å, I = 32
hkl 2 1 1, d = 3.105 Å, I = 78
hkl 2 0 -4, d = 2.991 Å, I = 52
hkl 3 1 0, d = 2.815 Å, I = 47
hkl 1 1 3, d = 2.639 Å, I = 36
hkl 4 0 -4, d = 2.437 Å, I = 28
hkl 4 1 -3, d = 2.283 Å, I = 39
hkl 1 1 4, d = 2.240 Å, I = 29
hkl 0 2 0, d = 2.110 Å, I = 100

***

(8)
Structure and computed XRD peak list of Pm7Ir2Pb (DFT lattice parameters and positions (GGA-PBE); Cu Kα X-rays).
No peak broadening, texture or thermal motion is included.

Structural model:
```
data_Pm7Ir2Pb
_chemical_formula_sum 'Pm14 Ir4 Pb2'
_cell_length_a 4.9464
_cell_length_b 4.9464
_cell_length_c 23.8617
_cell_angle_alpha 90.00
_cell_angle_beta 90.00
_cell_angle_gamma 90.00
_space_group_name_H-M_alt 'I 4/m m m'
_space_group_IT_number 139
_space_group_name_Hall '-I 4 2'
loop_
_atom_site_label
_atom_site_type_symbol
_atom_site_fract_x
_atom_site_fract_y
_atom_site_fract_z
_atom_site_occupancy
Pm1 Pm 0.0000 0.0000 0.0000 1
Pm2 Pm 0.0000 0.5000 0.1054 1
Pm3 Pm 0.0000 0.5000 0.2500 1
Ir1 Ir 0.0000 0.0000 0.1746 1
Pb1 Pb 0.0000 0.0000 0.5000 1
```

Main lines, low angle first (2θ from 15° to 90°):
hkl 1 0 3, d = 4.200 Å, I = 31
hkl 1 1 4, d = 3.017 Å, I = 15
hkl 1 1 6, d = 2.626 Å, I = 100
hkl 2 0 0, d = 2.473 Å, I = 56
hkl 1 1 8, d = 2.270 Å, I = 11
hkl 2 1 3, d = 2.131 Å, I = 11
hkl 2 2 0, d = 1.749 Å, I = 20
hkl 2 0 12, d = 1.550 Å, I = 12
hkl 3 1 6, d = 1.456 Å, I = 33
hkl 4 2 0, d = 1.106 Å, I = 9